No. 1
The following is a simulated X-ray diffraction stick pattern of Cs2Tm4Cu4S9. It was derived from a cell relaxed with GGA-PBE, using CuKα.
Neutral-atom scattering factors, no anomalous dispersion.

Most intense lines, 10 to 90 degrees two-theta, by angle:
| d (Å) | I/Imax |
| --- | --- |
| 6.621 | 625 |
| 3.861 | 714 |
| 3.506 | 546 |
| 3.473 | 1000 |
| 3.263 | 782 |
| 3.167 | 763 |
| 2.965 | 609 |
| 2.942 | 481 |
| 2.778 | 772 |
| 1.973 | 905 |

Crystal structure
a = 7.268 Å, b = 7.268 Å, c = 15.967 Å
α = 108.08°, β = 108.08°, γ = 31.50°
Sites, in units of the cell vectors:
Cs 0.029 0.029 0.271
Cs 0.971 0.971 0.729
Tm 0.232 0.232 0.103
Tm 0.347 0.347 0.446
Tm 0.653 0.653 0.554
Tm 0.768 0.768 0.897
Cu 0.249 0.249 0.729
Cu 0.431 0.431 0.039
Cu 0.569 0.569 0.961
Cu 0.751 0.751 0.271
S 0.000 0.000 0.500
S 0.144 0.144 0.927
S 0.289 0.289 0.595
S 0.337 0.337 0.276
S 0.391 0.391 0.879
S 0.609 0.609 0.121
S 0.663 0.663 0.724
S 0.711 0.711 0.405
S 0.856 0.856 0.073

No. 2
The following is a simulated X-ray diffraction stick pattern of CsYCuS3. It was derived from a cell relaxed with GGA-PBE, using CuKα.
Neutral-atom scattering factors, no anomalous dispersion.

Most intense lines, 10 to 90 degrees two-theta, by angle:
| d (Å) | I/Imax |
| --- | --- |
| 7.880 | 372 |
| 5.367 | 309 |
| 4.533 | 269 |
| 3.940 | 557 |
| 3.071 | 310 |
| 3.025 | 1000 |
| 2.940 | 515 |
| 2.576 | 333 |
| 2.003 | 290 |
| 1.997 | 274 |

Crystal structure
a = 9.339 Å, b = 3.993 Å, c = 9.745 Å
α = 90.00°, β = 111.51°, γ = 90.00°
Sites, in units of the cell vectors:
Cs 0.212 0.250 0.244
Cs 0.788 0.750 0.756
Y 0.330 0.750 0.859
Y 0.670 0.250 0.141
Cu 0.083 0.250 0.608
Cu 0.917 0.750 0.392
S 0.127 0.250 0.856
S 0.173 0.750 0.548
S 0.476 0.750 0.157
S 0.524 0.250 0.843
S 0.827 0.250 0.452
S 0.873 0.750 0.144

No. 3
The following is a simulated X-ray diffraction stick pattern of CsCu5Se3. It was derived from a cell relaxed with GGA-PBE, using CuKα.
Neutral-atom scattering factors, no anomalous dispersion.

Most intense lines, 10 to 90 degrees two-theta, by angle:
| d (Å) | I/Imax |
| --- | --- |
| 3.346 | 878 |
| 3.161 | 691 |
| 3.027 | 690 |
| 2.983 | 422 |
| 2.878 | 695 |
| 2.480 | 528 |
| 2.239 | 852 |
| 2.042 | 914 |
| 1.958 | 1000 |
| 1.926 | 992 |

Crystal structure
a = 9.983 Å, b = 4.085 Å, c = 9.018 Å
α = 90.00°, β = 90.00°, γ = 90.00°
Sites, in units of the cell vectors:
Cs 0.250 0.000 0.046
Cs 0.750 0.000 0.954
Cu 0.075 0.000 0.636
Cu 0.109 0.500 0.431
Cu 0.250 0.500 0.686
Cu 0.391 0.500 0.431
Cu 0.425 0.000 0.636
Cu 0.575 0.000 0.364
Cu 0.609 0.500 0.569
Cu 0.750 0.500 0.314
Cu 0.891 0.500 0.569
Cu 0.925 0.000 0.364
Se 0.030 0.500 0.788
Se 0.250 0.000 0.443
Se 0.470 0.500 0.788
Se 0.530 0.500 0.212
Se 0.750 0.000 0.557
Se 0.970 0.500 0.212

No. 4
The following is a simulated X-ray diffraction stick pattern of Cs2Cu5Se4. It was derived from a cell relaxed with GGA-PBE, using CuKα.
Neutral-atom scattering factors, no anomalous dispersion.

Most intense lines, 10 to 90 degrees two-theta, by angle:
| d (Å) | I/Imax |
| --- | --- |
| 7.844 | 282 |
| 3.306 | 836 |
| 3.248 | 326 |
| 3.035 | 1000 |
| 2.736 | 309 |
| 2.576 | 311 |
| 2.195 | 257 |
| 2.008 | 396 |
| 1.886 | 285 |
| 1.852 | 529 |

Crystal structure
a = 9.948 Å, b = 9.948 Å, c = 13.223 Å
α = 90.00°, β = 90.00°, γ = 156.71°
Sites, in units of the cell vectors:
Cs 0.000 0.000 0.000
Cs 0.000 0.000 0.500
Cs 0.142 0.858 0.750
Cs 0.858 0.142 0.250
Cu 0.083 0.917 0.250
Cu 0.215 0.785 0.042
Cu 0.215 0.785 0.458
Cu 0.352 0.648 0.658
Cu 0.352 0.648 0.842
Cu 0.648 0.352 0.158
Cu 0.648 0.352 0.342
Cu 0.785 0.215 0.542
Cu 0.785 0.215 0.958
Cu 0.917 0.083 0.750
Se 0.207 0.793 0.250
Se 0.343 0.657 0.022
Se 0.343 0.657 0.478
Se 0.482 0.518 0.750
Se 0.518 0.482 0.250
Se 0.657 0.343 0.522
Se 0.657 0.343 0.978
Se 0.793 0.207 0.750

No. 5
The following is a simulated X-ray diffraction stick pattern of CsCu5Se3. It was derived from a cell relaxed with GGA-PBE, using CuKα.
Neutral-atom scattering factors, no anomalous dispersion.

Most intense lines, 10 to 90 degrees two-theta, by angle:
| d (Å) | I/Imax |
| --- | --- |
| 3.343 | 817 |
| 3.160 | 669 |
| 3.023 | 678 |
| 2.873 | 657 |
| 2.480 | 496 |
| 2.238 | 860 |
| 2.041 | 880 |
| 1.956 | 1000 |
| 1.925 | 930 |
| 1.664 | 441 |

Crystal structure
a = 9.986 Å, b = 4.081 Å, c = 9.000 Å
α = 90.00°, β = 90.00°, γ = 90.00°
Sites, in units of the cell vectors:
Cs 0.250 0.000 0.045
Cs 0.750 0.000 0.955
Cu 0.075 0.000 0.634
Cu 0.108 0.500 0.431
Cu 0.250 0.500 0.686
Cu 0.392 0.500 0.431
Cu 0.425 0.000 0.634
Cu 0.575 0.000 0.366
Cu 0.608 0.500 0.569
Cu 0.750 0.500 0.314
Cu 0.892 0.500 0.569
Cu 0.925 0.000 0.366
Se 0.031 0.500 0.789
Se 0.250 0.000 0.440
Se 0.469 0.500 0.789
Se 0.531 0.500 0.211
Se 0.750 0.000 0.560
Se 0.969 0.500 0.211

No. 6
The following is a simulated X-ray diffraction stick pattern of Cs2Cu2Se3. It was derived from a cell relaxed with GGA-PBE, using CuKα.
Neutral-atom scattering factors, no anomalous dispersion.

Most intense lines, 10 to 90 degrees two-theta, by angle:
| d (Å) | I/Imax |
| --- | --- |
| 3.572 | 1000 |
| 3.449 | 967 |
| 3.426 | 721 |
| 3.217 | 636 |
| 3.200 | 451 |
| 3.101 | 326 |
| 2.856 | 806 |
| 2.677 | 414 |
| 2.121 | 286 |
| 1.792 | 400 |

Crystal structure
a = 8.411 Å, b = 8.411 Å, c = 7.026 Å
α = 90.27°, β = 90.27°, γ = 110.49°
Sites, in units of the cell vectors:
Cs 0.138 0.337 0.131
Cs 0.337 0.138 0.631
Cs 0.663 0.862 0.369
Cs 0.862 0.663 0.869
Cu 0.217 0.645 0.563
Cu 0.355 0.783 0.937
Cu 0.645 0.217 0.063
Cu 0.783 0.355 0.437
Se 0.054 0.715 0.339
Se 0.285 0.946 0.161
Se 0.412 0.588 0.750
Se 0.588 0.412 0.250
Se 0.715 0.054 0.839
Se 0.946 0.285 0.661

No. 7
The following is a simulated X-ray diffraction stick pattern of CsCuSiTe2Se. It was derived from a cell relaxed with GGA-PBE, using CuKα.
Neutral-atom scattering factors, no anomalous dispersion.

Most intense lines, 10 to 90 degrees two-theta, by angle:
| d (Å) | I/Imax |
| --- | --- |
| 3.340 | 1000 |
| 3.324 | 256 |
| 3.178 | 275 |
| 3.050 | 923 |
| 2.710 | 419 |
| 2.601 | 284 |
| 2.302 | 402 |
| 1.791 | 440 |
| 1.783 | 380 |
| 1.665 | 330 |

Crystal structure
a = 8.696 Å, b = 8.696 Å, c = 10.839 Å
α = 90.00°, β = 90.00°, γ = 154.47°
Sites, in units of the cell vectors:
Cs 0.235 0.765 0.750
Cs 0.765 0.235 0.250
Cu 0.045 0.955 0.250
Cu 0.955 0.045 0.750
Si 0.500 0.500 0.000
Si 0.500 0.500 0.500
Te 0.113 0.887 0.038
Te 0.113 0.887 0.462
Te 0.887 0.113 0.538
Te 0.887 0.113 0.962
Se 0.458 0.542 0.250
Se 0.542 0.458 0.750

No. 8
The following is a simulated X-ray diffraction stick pattern of Cs2Sm4Cu4Se9. It was derived from a cell relaxed with GGA-PBE, using CuKα.
Neutral-atom scattering factors, no anomalous dispersion.

Most intense lines, 10 to 90 degrees two-theta, by angle:
| d (Å) | I/Imax |
| --- | --- |
| 7.025 | 478 |
| 3.227 | 425 |
| 3.198 | 539 |
| 3.149 | 939 |
| 3.126 | 602 |
| 2.992 | 459 |
| 2.954 | 780 |
| 2.689 | 389 |
| 2.100 | 1000 |
| 2.078 | 434 |

Crystal structure
a = 7.700 Å, b = 7.700 Å, c = 17.017 Å
α = 107.79°, β = 107.79°, γ = 31.64°
Sites, in units of the cell vectors:
Cs 0.030 0.030 0.271
Cs 0.970 0.970 0.729
Sm 0.230 0.230 0.102
Sm 0.346 0.346 0.445
Sm 0.654 0.654 0.555
Sm 0.770 0.770 0.898
Cu 0.246 0.246 0.729
Cu 0.426 0.426 0.031
Cu 0.574 0.574 0.969
Cu 0.754 0.754 0.271
Se 0.000 0.000 0.500
Se 0.137 0.137 0.925
Se 0.295 0.295 0.600
Se 0.340 0.340 0.275
Se 0.396 0.396 0.876
Se 0.604 0.604 0.124
Se 0.660 0.660 0.725
Se 0.705 0.705 0.400
Se 0.863 0.863 0.075

No. 9
The following is a simulated X-ray diffraction stick pattern of CsTaCu2Se4. It was derived from a cell relaxed with GGA-PBE, using CuKα.
Neutral-atom scattering factors, no anomalous dispersion.

Most intense lines, 10 to 90 degrees two-theta, by angle:
| d (Å) | I/Imax |
| --- | --- |
| 6.190 | 895 |
| 5.546 | 514 |
| 4.211 | 337 |
| 3.953 | 412 |
| 3.277 | 1000 |
| 3.219 | 869 |
| 2.617 | 493 |
| 2.111 | 861 |
| 1.976 | 379 |
| 1.908 | 892 |

Crystal structure
a = 7.906 Å, b = 10.362 Å, c = 10.362 Å
α = 147.64°, β = 90.00°, γ = 90.00°
Sites, in units of the cell vectors:
Cs 0.250 0.184 0.816
Cs 0.750 0.816 0.184
Ta 0.250 0.141 0.351
Ta 0.750 0.351 0.141
Cu 0.000 0.259 0.259
Cu 0.250 0.641 0.849
Cu 0.500 0.259 0.259
Cu 0.750 0.849 0.641
Se 0.001 0.595 0.387
Se 0.250 0.794 0.200
Se 0.250 0.997 0.004
Se 0.499 0.595 0.387
Se 0.501 0.387 0.595
Se 0.750 0.004 0.997
Se 0.750 0.200 0.794
Se 0.999 0.387 0.595

No. 10
The following is a simulated X-ray diffraction stick pattern of Cs2Tb4Cu4Se9. It was derived from a cell relaxed with GGA-PBE, using CuKα.
Neutral-atom scattering factors, no anomalous dispersion.

Most intense lines, 10 to 90 degrees two-theta, by angle:
| d (Å) | I/Imax |
| --- | --- |
| 6.971 | 549 |
| 3.169 | 537 |
| 3.119 | 915 |
| 3.097 | 591 |
| 2.963 | 415 |
| 2.925 | 794 |
| 2.651 | 394 |
| 2.400 | 442 |
| 2.077 | 1000 |
| 2.052 | 444 |

Crystal structure
a = 7.644 Å, b = 7.644 Å, c = 16.788 Å
α = 107.90°, β = 107.90°, γ = 31.52°
Sites, in units of the cell vectors:
Cs 0.031 0.031 0.272
Cs 0.969 0.969 0.728
Tb 0.230 0.230 0.102
Tb 0.346 0.346 0.445
Tb 0.654 0.654 0.555
Tb 0.770 0.770 0.898
Cu 0.248 0.248 0.731
Cu 0.427 0.427 0.033
Cu 0.573 0.573 0.967
Cu 0.752 0.752 0.269
Se 0.000 0.000 0.500
Se 0.140 0.140 0.925
Se 0.293 0.293 0.598
Se 0.341 0.341 0.275
Se 0.394 0.394 0.876
Se 0.606 0.606 0.124
Se 0.659 0.659 0.725
Se 0.707 0.707 0.402
Se 0.860 0.860 0.075

No. 11
The following is a simulated X-ray diffraction stick pattern of CsTb2CuTeSe3. It was derived from a cell relaxed with GGA-PBE, using CuKα.
Neutral-atom scattering factors, no anomalous dispersion.

Most intense lines, 10 to 90 degrees two-theta, by angle:
| d (Å) | I/Imax |
| --- | --- |
| 6.686 | 227 |
| 4.086 | 409 |
| 3.284 | 331 |
| 3.250 | 316 |
| 3.173 | 755 |
| 2.969 | 1000 |
| 2.726 | 347 |
| 2.380 | 271 |
| 2.195 | 565 |
| 2.134 | 380 |

Crystal structure
a = 7.818 Å, b = 7.818 Å, c = 14.601 Å
α = 90.00°, β = 90.00°, γ = 148.31°
Sites, in units of the cell vectors:
Cs 0.104 0.896 0.750
Cs 0.896 0.104 0.250
Tb 0.357 0.643 0.566
Tb 0.357 0.643 0.934
Tb 0.643 0.357 0.066
Tb 0.643 0.357 0.434
Cu 0.166 0.834 0.250
Cu 0.834 0.166 0.750
Te 0.000 0.000 0.000
Te 0.000 0.000 0.500
Se 0.260 0.740 0.109
Se 0.260 0.740 0.391
Se 0.419 0.581 0.750
Se 0.581 0.419 0.250
Se 0.740 0.260 0.609
Se 0.740 0.260 0.891

Please write out number 5 again, unchanged.
The following is a simulated X-ray diffraction stick pattern of CsCu5Se3. It was derived from a cell relaxed with GGA-PBE, using CuKα.
Neutral-atom scattering factors, no anomalous dispersion.

Most intense lines, 10 to 90 degrees two-theta, by angle:
| d (Å) | I/Imax |
| --- | --- |
| 3.343 | 817 |
| 3.160 | 669 |
| 3.023 | 678 |
| 2.873 | 657 |
| 2.480 | 496 |
| 2.238 | 860 |
| 2.041 | 880 |
| 1.956 | 1000 |
| 1.925 | 930 |
| 1.664 | 441 |

Crystal structure
a = 9.986 Å, b = 4.081 Å, c = 9.000 Å
α = 90.00°, β = 90.00°, γ = 90.00°
Sites, in units of the cell vectors:
Cs 0.250 0.000 0.045
Cs 0.750 0.000 0.955
Cu 0.075 0.000 0.634
Cu 0.108 0.500 0.431
Cu 0.250 0.500 0.686
Cu 0.392 0.500 0.431
Cu 0.425 0.000 0.634
Cu 0.575 0.000 0.366
Cu 0.608 0.500 0.569
Cu 0.750 0.500 0.314
Cu 0.892 0.500 0.569
Cu 0.925 0.000 0.366
Se 0.031 0.500 0.789
Se 0.250 0.000 0.440
Se 0.469 0.500 0.789
Se 0.531 0.500 0.211
Se 0.750 0.000 0.560
Se 0.969 0.500 0.211